1.
This entry pairs a crystal structure of Rb4MgV2Cu2S8 with its theoretical powder diffraction line list. Radiation: Cu Kα. Structure: a GGA-PBE-relaxed structure.

Structure:
Unit cell a=12.161 b=12.161 c=7.215 alpha=95.07 beta=95.07 gamma=152.97
Fractional coordinates of all 17 atoms:
Rb 0.000 0.000 0.000
Rb 0.244 0.756 0.500
Rb 0.642 0.358 0.000
Rb 0.872 0.128 0.500
Mg 0.444 0.556 0.500
V 0.068 0.932 0.500
V 0.822 0.178 0.000
Cu 0.324 0.676 0.000
Cu 0.570 0.430 0.500
S 0.206 0.454 0.206
S 0.257 0.018 0.309
S 0.331 0.314 0.678
S 0.546 0.794 0.794
S 0.616 0.078 0.177
S 0.686 0.669 0.322
S 0.922 0.384 0.823
S 0.982 0.743 0.691

Main lines, sorted by position (10 to 80 degrees two-theta):
2θ/deg  intensity
14.99  48
26.25  100
26.69  39
27.66  78
28.05  56
31.60  36
31.95  45
39.08  62

=====

2.
This entry pairs a crystal structure of B with its theoretical powder diffraction line list. Radiation: Cu Kα. Structure: a GGA-PBE-relaxed structure.

Structure:
Unit cell a=5.228 b=5.228 c=5.228 alpha=67.45 beta=67.45 gamma=67.45
Fractional coordinates of all 15 atoms:
B 0.000 0.000 0.000
B 0.134 0.134 0.134
B 0.171 0.493 0.493
B 0.199 0.693 0.693
B 0.307 0.307 0.801
B 0.307 0.801 0.307
B 0.493 0.171 0.493
B 0.493 0.493 0.171
B 0.507 0.507 0.829
B 0.507 0.829 0.507
B 0.693 0.199 0.693
B 0.693 0.693 0.199
B 0.801 0.307 0.307
B 0.829 0.507 0.507
B 0.866 0.866 0.866

Main lines, sorted by position (10 to 80 degrees two-theta):
2θ/deg  intensity
19.13  38
22.16  23
23.05  52
34.75  49
36.52  100
52.64  21
64.17  19
74.41  19

=====

3.
This entry pairs a crystal structure of Nb2C with its theoretical powder diffraction line list. Radiation: Cu Kα. Structure: a GGA-PBE-relaxed structure.

Structure:
Unit cell a=3.148 b=3.148 c=5.007 alpha=90.00 beta=90.00 gamma=120.00
Fractional coordinates of all 3 atoms:
Nb 0.333 0.667 0.250
Nb 0.667 0.333 0.750
C 0.000 0.000 0.500

Main lines, sorted by position (10 to 80 degrees two-theta):
2θ/deg  intensity
32.85  19
35.87  23
37.57  100
49.43  18
58.65  19
65.59  19
70.70  18
71.77  14

=====

4.
This entry pairs a crystal structure of CsIrO3 with its theoretical powder diffraction line list. Radiation: Cu Kα. Structure: a GGA-PBE-relaxed structure.

Structure:
Unit cell a=4.094 b=4.094 c=4.094 alpha=90.00 beta=90.00 gamma=90.00
Fractional coordinates of all 5 atoms:
Cs 0.000 0.000 0.000
Ir 0.500 0.500 0.500
O 0.000 0.500 0.500
O 0.500 0.000 0.500
O 0.500 0.500 0.000

Main lines, sorted by position (10 to 80 degrees two-theta):
2θ/deg  intensity
21.71  8
30.89  100
44.25  27
49.81  3
54.94  41
64.37  17
68.80  2
73.10  18

=====

5.
This entry pairs a crystal structure of AlCrGe with its theoretical powder diffraction line list. Radiation: Cu Kα. Structure: a GGA-PBE-relaxed structure.

Structure:
Unit cell a=5.951 b=4.922 c=4.748 alpha=75.94 beta=53.35 gamma=50.71
Fractional coordinates of all 6 atoms:
Al 0.172 0.828 0.172
Al 0.828 0.172 0.828
Cr 0.500 0.500 0.500
Cr 0.750 0.750 0.750
Ge 0.081 0.419 0.081
Ge 0.419 0.081 0.419

Main lines, sorted by position (10 to 80 degrees two-theta):
2θ/deg  intensity
20.62  22
39.37  100
41.96  38
43.41  68
49.85  49
67.14  19
69.26  17
72.45  14

=====

6.
This entry pairs a crystal structure of BaPd with its theoretical powder diffraction line list. Radiation: Cu Kα. Structure: a GGA-PBE-relaxed structure.

Structure:
Unit cell a=4.470 b=12.073 c=4.737 alpha=90.00 beta=90.00 gamma=90.00
Fractional coordinates of all 8 atoms:
Ba 0.000 0.137 0.250
Ba 0.000 0.863 0.750
Ba 0.500 0.363 0.750
Ba 0.500 0.637 0.250
Pd 0.000 0.430 0.250
Pd 0.000 0.570 0.750
Pd 0.500 0.070 0.750
Pd 0.500 0.930 0.250

Main lines, sorted by position (10 to 80 degrees two-theta):
2θ/deg  intensity
28.43  100
29.60  23
29.87  39
35.26  28
35.50  80
37.99  31
40.36  26
49.06  20

=====

7.
This entry pairs a crystal structure of Ni3Se4 with its theoretical powder diffraction line list. Radiation: Cu Kα. Structure: a GGA-PBE-relaxed structure.

Structure:
Unit cell a=11.941 b=3.674 c=6.197 alpha=90.00 beta=120.45 gamma=90.00
Fractional coordinates of all 14 atoms:
Ni 0.000 0.000 0.000
Ni 0.240 0.500 0.721
Ni 0.260 0.000 0.279
Ni 0.500 0.500 0.000
Ni 0.740 0.000 0.721
Ni 0.760 0.500 0.279
Se 0.118 0.000 0.458
Se 0.136 0.500 0.977
Se 0.364 0.000 0.023
Se 0.382 0.500 0.542
Se 0.618 0.500 0.458
Se 0.636 0.000 0.977
Se 0.864 0.500 0.023
Se 0.882 0.000 0.542

Main lines, sorted by position (10 to 80 degrees two-theta):
2θ/deg  intensity
33.16  100
33.38  40
33.55  25
33.98  54
45.28  53
45.62  47
49.63  39
50.71  70

=====

Q: Number 4 is which compound?
A: CsIrO3